Record 1
This entry pairs a crystal structure of Sr2V4Au with its theoretical powder diffraction line list. Radiation: Cu Kα (λ = 1.5418 Å). Structure: a cell relaxed with PBE.
No peak broadening, texture or thermal motion is included.

Cell and atoms:
Unit cell a=5.0333 b=5.0333 c=16.6266 alpha=90.00 beta=90.00 gamma=90.00
Space group I4/mmm (No. 139)
One atom of each set of equivalent atoms:
Sr: 0.0000 0.0000 0.1419 (multiplicity 4)
V: 0.0000 0.0000 0.3438 (multiplicity 4)
V: 0.0000 0.5000 0.0000 (multiplicity 4)
Au: 0.0000 0.0000 0.5000 (multiplicity 2)

Top 10 peaks for 2θ = 10–80°, low angle first:
- 2θ 10.64, rel. 100, hkl 0 0 2
- 2θ 18.42, rel. 49, hkl 1 0 1
- 2θ 23.88, rel. 84, hkl 1 0 3
- 2θ 25.02, rel. 82, hkl 1 1 0
- 2θ 32.28, rel. 80, hkl 0 0 6
- 2θ 35.68, rel. 78, hkl 2 0 0
- 2θ 41.29, rel. 28, hkl 1 1 6
- 2θ 43.39, rel. 37, hkl 2 1 3
- 2θ 48.88, rel. 73, hkl 2 0 6
- 2θ 61.97, rel. 29, hkl 2 2 6

---

Record 2
This entry pairs a crystal structure of Pr4NdTl3 with its theoretical powder diffraction line list. Radiation: Cu Kα (λ = 1.5418 Å). Structure: a cell relaxed with PBE.
No peak broadening, texture or thermal motion is included.

Cell and atoms:
Unit cell a=5.5836 b=5.5836 c=28.3993 alpha=90.00 beta=90.00 gamma=120.00
Space group R-3m (No. 166, hexagonal axes)
One atom of each set of equivalent atoms:
Pr: 0.0000 0.0000 0.1125 (multiplicity 6)
Pr: 0.0000 0.0000 0.3676 (multiplicity 6)
Nd: 0.0000 0.0000 0.5000 (multiplicity 3)
Tl: 0.0000 0.0000 0.0000 (multiplicity 3)
Tl: 0.0000 0.0000 0.2359 (multiplicity 6)

Top 10 peaks for 2θ = 10–80°, low angle first:
- 2θ 28.72, rel. 10, hkl 1 0 7
- 2θ 31.26, rel. 81, hkl 0 1 8
- 2θ 32.06, rel. 100, hkl 1 1 0
- 2θ 43.27, rel. 14, hkl 1 1 9
- 2θ 45.39, rel. 29, hkl 2 0 8
- 2θ 56.64, rel. 30, hkl 1 2 8
- 2θ 57.15, rel. 20, hkl 3 0 0
- 2θ 58.94, rel. 11, hkl 1 1 15
- 2θ 67.05, rel. 12, hkl 2 2 0
- 2θ 75.83, rel. 13, hkl 3 1 8

---

Record 3
This entry pairs a crystal structure of Ho5Er2Sc5 with its theoretical powder diffraction line list. Radiation: Cu Kα (λ = 1.5418 Å). Structure: a cell relaxed with PBE.
No peak broadening, texture or thermal motion is included.

Cell and atoms:
Unit cell a=14.5010 b=4.7929 c=10.8390 alpha=90.00 beta=116.56 gamma=90.00
Space group C2/m (No. 12)
One atom of each set of equivalent atoms:
Ho: 0.0000 0.0000 0.0000 (multiplicity 2)
Ho: 0.1641 0.0000 0.4984 (multiplicity 4)
Ho: 0.2478 0.0000 0.2455 (multiplicity 4)
Er: 0.0825 0.0000 0.7530 (multiplicity 4)
Sc: 0.0000 0.5000 0.5000 (multiplicity 2)
Sc: 0.0821 0.5000 0.2482 (multiplicity 4)
Sc: 0.1676 0.5000 0.0009 (multiplicity 4)

Top 10 peaks for 2θ = 10–80°, low angle first:
- 2θ 19.75, rel. 18, hkl 1 1 0
- 2θ 32.13, rel. 100, hkl 3 1 1
- 2θ 37.09, rel. 17, hkl 0 0 4
- 2θ 37.20, rel. 17, hkl 6 0 -2
- 2θ 37.53, rel. 16, hkl 0 2 0
- 2θ 53.84, rel. 23, hkl 6 2 -2
- 2θ 63.76, rel. 14, hkl 3 1 5
- 2θ 63.91, rel. 14, hkl 9 1 -1
- 2θ 64.35, rel. 14, hkl 3 3 1
- 2θ 67.22, rel. 12, hkl 6 2 2

---

Record 4
This entry pairs a crystal structure of ErNbRu with its theoretical powder diffraction line list. Radiation: Cu Kα (λ = 1.5418 Å). Structure: a cell relaxed with PBE.
No peak broadening, texture or thermal motion is included.

Cell and atoms:
Unit cell a=4.6739 b=11.6160 c=6.7136 alpha=90.00 beta=90.00 gamma=90.00
Space group Amm2 (No. 38)
One atom of each set of equivalent atoms:
Er: 0.0000 0.0000 0.0000 (multiplicity 2)
Er: 0.0000 0.2101 0.6303 (multiplicity 4)
Nb: 0.5000 0.0000 0.6699 (multiplicity 2)
Nb: 0.5000 0.1239 0.2959 (multiplicity 4)
Ru: 0.0000 0.0000 0.4198 (multiplicity 2)
Ru: 0.5000 0.1666 0.9200 (multiplicity 4)

Top 10 peaks for 2θ = 10–80°, low angle first:
- 2θ 32.86, rel. 89, hkl 1 0 2
- 2θ 36.41, rel. 100, hkl 1 4 0
- 2θ 38.52, rel. 41, hkl 2 0 0
- 2θ 41.10, rel. 34, hkl 0 5 1
- 2θ 46.91, rel. 17, hkl 0 3 3
- 2θ 57.59, rel. 25, hkl 2 5 1
- 2θ 60.79, rel. 19, hkl 1 5 3
- 2θ 62.25, rel. 15, hkl 2 3 3
- 2θ 68.32, rel. 16, hkl 3 4 0
- 2θ 73.93, rel. 19, hkl 1 1 5

---

Record 5
This entry pairs a crystal structure of DyTc with its theoretical powder diffraction line list. Radiation: Cu Kα (λ = 1.5418 Å). Structure: a cell relaxed with PBE.
No peak broadening, texture or thermal motion is included.

Cell and atoms:
Unit cell a=4.5729 b=4.0097 c=5.6490 alpha=90.00 beta=113.71 gamma=90.00
Space group P2_1/m (No. 11)
One atom of each set of equivalent atoms:
Dy: 0.1425 0.2500 0.2871 (multiplicity 2)
Tc: 0.4421 0.2500 0.8798 (multiplicity 2)

Top 10 peaks for 2θ = 10–80°, low angle first:
- 2θ 28.16, rel. 18, hkl 0 1 1
- 2θ 30.89, rel. 100, hkl 1 1 -1
- 2θ 32.52, rel. 58, hkl 1 0 1
- 2θ 39.41, rel. 33, hkl 2 0 -1
- 2θ 39.71, rel. 48, hkl 1 1 1
- 2θ 41.55, rel. 25, hkl 0 1 2
- 2θ 45.23, rel. 22, hkl 0 2 0
- 2θ 56.81, rel. 24, hkl 1 2 1
- 2θ 58.24, rel. 18, hkl 0 1 3
- 2θ 61.52, rel. 18, hkl 2 2 -1

---

Which formula does entry 2 have?
Pr4NdTl3

---

Which formula does entry 3 have?
Ho5Er2Sc5